Diffraction record for NpCoPbS4. The X-ray powder pattern is theoretical, not measured: it uses a structure optimized by DFT (GGA-PBE) and copper Kα.
Peak positions follow from Bragg's law for the DFT cell and can differ from measured ones.

Structure:
a b c (Å): 6.5990 5.6458 8.1887
angles (deg): 90.00 106.32 90.00
Atoms (fractional coordinates):
Np: 0.2442 0.2500 0.4471
Np: 0.7558 0.7500 0.5529
Co: 0.2686 0.7500 0.6655
Co: 0.7314 0.2500 0.3345
Pb: 0.2194 0.2500 0.9465
Pb: 0.7806 0.7500 0.0535
S: 0.0712 0.7500 0.8518
S: 0.0725 0.7500 0.4037
S: 0.4811 0.5097 0.2753
S: 0.4811 0.9903 0.2753
S: 0.5189 0.0097 0.7247
S: 0.5189 0.4903 0.7247
S: 0.9275 0.2500 0.5963
S: 0.9288 0.2500 0.1482

Largest 8 diffraction maxima, low angle first, 10 to 90 degrees two-theta:
| index | 2θ (°) | I (rel.) |
| --- | --- | --- |
| 1 1 0 | 21.1 | 100.0 |
| 0 1 2 | 27.7 | 30.9 |
| 1 1 -2 | 28.0 | 50.4 |
| 2 0 0 | 28.2 | 30.6 |
| 2 0 -2 | 30.9 | 40.2 |
| 0 2 0 | 31.7 | 41.0 |
| 1 1 2 | 34.0 | 44.2 |
| 2 2 0 | 42.9 | 38.8 |